For CaMo3P3O13, a cell relaxed with PBE+U gives the simulated powder XRD pattern in this record (Cu Kα).

The 10 most intense peaks (10° ≤ 2θ ≤ 90°), in order of rising 2θ:
d_spacing  Rel. int.  index
5.657  25  0 1 1
4.733  100  1 0 -2
3.427  37  2 0 1
3.345  40  0 2 0
3.190  22  0 2 1
3.025  48  1 0 3
2.895  30  1 2 1
2.833  34  2 0 -3
2.519  25  2 2 0
2.428  30  0 2 3

Structure:
Cell: 7.760 6.691 10.734 Å, 90.00 99.34 90.00°
Positions (direct):
Ca 0.147 0.250 0.192
Ca 0.853 0.750 0.808
Mo 0.145 0.250 0.792
Mo 0.268 0.750 0.440
Mo 0.500 0.000 0.000
Mo 0.500 0.500 0.000
Mo 0.732 0.250 0.560
Mo 0.855 0.750 0.208
P 0.178 0.750 0.110
P 0.243 0.750 0.765
P 0.283 0.250 0.502
P 0.717 0.750 0.498
P 0.757 0.250 0.235
P 0.822 0.250 0.890
O 0.010 0.250 0.966
O 0.125 0.571 0.786
O 0.125 0.929 0.786
O 0.143 0.750 0.251
O 0.149 0.250 0.594
O 0.248 0.068 0.410
O 0.248 0.432 0.410
O 0.276 0.553 0.093
O 0.276 0.947 0.093
O 0.309 0.750 0.640
O 0.389 0.250 0.897
O 0.411 0.750 0.871
O 0.469 0.250 0.579
O 0.531 0.750 0.421
O 0.589 0.250 0.129
O 0.611 0.750 0.103
O 0.691 0.250 0.360
O 0.724 0.053 0.907
O 0.724 0.447 0.907
O 0.752 0.568 0.590
O 0.752 0.932 0.590
O 0.851 0.750 0.406
O 0.857 0.250 0.749
O 0.875 0.071 0.214
O 0.875 0.429 0.214
O 0.990 0.750 0.034